# 1
LiMo6S8: computed powder XRD pattern (CuKα), based on DFT lattice parameters and positions (GGA-PBE).

Main lines, low angle first (2θ from 15° to 90°):
index  d (Å)  2θ/deg  Rel. int.
2 1 -1  2.967  30.1  54.0
1 3 1  2.689  33.3  98.5
2 0 -2  2.673  33.5  45.2
1 -3 1  2.568  34.9  70.7
1 0 4  2.225  40.6  74.6
2 -3 1  2.092  43.2  78.0
3 0 2  1.979  45.9  82.1
1 4 -2  1.973  46.0  100.0

Structural model:
```
data_LiMo6S8
_cell_length_a 6.532
_cell_length_b 9.052
_cell_length_c 9.442
_cell_angle_alpha 89.83
_cell_angle_beta 89.57
_cell_angle_gamma 86.36
_symmetry_space_group_name_H-M 'P -1'
_symmetry_Int_Tables_number 2
loop_
_symmetry_equiv_pos_as_xyz
'x,y,z'
'-x,-y,-z'
loop_
_atom_site_label
_atom_site_type_symbol
_atom_site_fract_x
_atom_site_fract_y
_atom_site_fract_z
Li1 Li 0.100 0.303 0.263
Mo1 Mo 0.216 0.271 0.678
Mo2 Mo 0.217 0.772 0.177
Mo3 Mo 0.404 0.868 0.417
Mo4 Mo 0.405 0.365 0.915
Mo5 Mo 0.450 0.061 0.844
Mo6 Mo 0.453 0.567 0.343
S1 S 0.131 0.193 0.922
S2 S 0.134 0.694 0.421
S3 S 0.215 0.031 0.250
S4 S 0.215 0.529 0.751
S5 S 0.269 0.509 0.124
S6 S 0.273 0.010 0.624
S7 S 0.386 0.318 0.450
S8 S 0.390 0.819 0.953
```

=====

# 2
GdAl3Ni2: computed powder XRD pattern (CuKα), based on DFT lattice parameters and positions (GGA-PBE).

Main lines, low angle first (2θ from 15° to 90°):
index  d (Å)  2θ/deg  Rel. int.
1 1 0  4.551  19.5  35.6
1 0 1  3.621  24.6  64.7
3 0 0  2.628  34.1  32.6
2 1 1  2.405  37.4  100.0
2 2 0  2.276  39.6  77.0
3 0 1  2.209  40.9  43.5
0 0 2  2.038  44.5  31.9
2 2 2  1.518  61.0  49.2

Structural model:
```
data_GdAl3Ni2
_cell_length_a 9.1029
_cell_length_b 9.1029
_cell_length_c 4.0760
_cell_angle_alpha 90.00
_cell_angle_beta 90.00
_cell_angle_gamma 120.00
_symmetry_space_group_name_H-M 'P 6/m m m'
_symmetry_Int_Tables_number 191
_symmetry_space_group_name_Hall '-P 6 2'
loop_
_atom_site_label
_atom_site_type_symbol
_atom_site_fract_x
_atom_site_fract_y
_atom_site_fract_z
Gd1 Gd 0.0000 0.0000 0.0000
Gd2 Gd 0.3333 0.6667 0.5000
Al1 Al 0.0000 0.3009 0.5000
Al2 Al 0.0000 0.5000 0.0000
Ni1 Ni 0.1803 0.3607 0.0000
```

=====

# 3
La2Ti3O9: computed powder XRD pattern (CuKα), based on DFT lattice parameters and positions (GGA-PBE).

Main lines, low angle first (2θ from 15° to 90°):
index  d (Å)  2θ/deg  Rel. int.
3 1 -2  3.492  25.5  33.2
3 1 1  2.767  32.4  100.0
0 2 0  2.755  32.5  51.2
0 2 2  2.256  40.0  32.0
6 2 -2  1.948  46.6  40.5
0 2 4  1.600  57.6  20.0
9 1 -1  1.593  57.9  39.0
6 2 2  1.384  67.7  22.0

Structural model:
```
data_La2Ti3O9
_cell_length_a 16.527
_cell_length_b 5.509
_cell_length_c 9.600
_cell_angle_alpha 90.00
_cell_angle_beta 125.01
_cell_angle_gamma 90.00
_symmetry_space_group_name_H-M 'C 1 2/m 1'
_symmetry_Int_Tables_number 12
loop_
_symmetry_equiv_pos_as_xyz
'x,y,z'
'-x,-y,-z'
'-x,y,-z'
'x,-y,z'
'x+1/2,y+1/2,z'
'-x+1/2,-y+1/2,-z'
'-x+1/2,y+1/2,-z'
'x+1/2,-y+1/2,z'
loop_
_atom_site_label
_atom_site_type_symbol
_atom_site_fract_x
_atom_site_fract_y
_atom_site_fract_z
La1 La 0.000 0.000 0.000
La2 La 0.000 0.500 0.500
La3 La 0.167 0.000 0.501
Ti1 Ti 0.082 0.500 0.245
Ti2 Ti 0.091 0.000 0.761
Ti3 Ti 0.248 0.000 0.235
O1 O 0.000 0.000 0.500
O2 O 0.000 0.500 0.000
O3 O 0.008 0.239 0.264
O4 O 0.154 0.000 0.999
O5 O 0.158 0.251 0.725
O6 O 0.168 0.238 0.262
O7 O 0.168 0.500 0.499
```

=====

# 4
YSI: computed powder XRD pattern (CuKα), based on DFT lattice parameters and positions (GGA-PBE).

Main lines, low angle first (2θ from 15° to 90°):
index  d (Å)  2θ/deg  Rel. int.
1 0 0  3.935  22.6  14.9
1 0 1  3.125  28.6  100.0
0 0 2  2.571  34.9  16.0
1 1 0  2.272  39.7  33.3
2 0 1  1.838  49.6  20.9
1 1 2  1.703  53.8  26.6
1 0 3  1.572  58.8  12.5
2 1 1  1.429  65.3  18.0

Structural model:
```
data_YSI
_cell_length_a 4.5437
_cell_length_b 4.5437
_cell_length_c 5.1426
_cell_angle_alpha 90.00
_cell_angle_beta 90.00
_cell_angle_gamma 120.00
_symmetry_space_group_name_H-M 'P -6 m 2'
_symmetry_Int_Tables_number 187
_symmetry_space_group_name_Hall 'P -6 2'
loop_
_atom_site_label
_atom_site_type_symbol
_atom_site_fract_x
_atom_site_fract_y
_atom_site_fract_z
Y1 Y 0.0000 0.0000 0.0000
S1 S 0.3333 0.6667 0.0000
I1 I 0.6667 0.3333 0.5000
```

=====

# 5
CsNb6Te8: computed powder XRD pattern (CuKα), based on DFT lattice parameters and positions (GGA-PBE).

Main lines, low angle first (2θ from 15° to 90°):
index  d (Å)  2θ/deg  Rel. int.
3 0 0  3.175  28.1  57.1
1 1 1  3.073  29.1  28.6
2 0 1  2.925  30.6  65.9
1 3 0  2.642  33.9  69.6
1 2 1  2.582  34.7  100.0
4 -2 1  2.208  40.9  38.0
2 3 1  1.882  48.4  31.3
5 3 1  1.277  74.3  34.2

Structural model:
```
data_CsNb6Te8
_cell_length_a 10.9983
_cell_length_b 10.9983
_cell_length_c 3.7055
_cell_angle_alpha 90.00
_cell_angle_beta 90.00
_cell_angle_gamma 120.00
_symmetry_space_group_name_H-M 'P -3'
_symmetry_Int_Tables_number 147
loop_
_symmetry_equiv_pos_as_xyz
'x,y,z'
'-x,-y,-z'
'-y,x-y,z'
'y,-x+y,-z'
'-x+y,-x,z'
'x-y,x,-z'
loop_
_atom_site_label
_atom_site_type_symbol
_atom_site_fract_x
_atom_site_fract_y
_atom_site_fract_z
Cs1 Cs 0.0000 0.0000 0.0000
Nb1 Nb 0.1006 0.6121 0.7521
Te1 Te 0.0655 0.3442 0.7451
Te2 Te 0.3333 0.6667 0.2507
```

=====

# 6
SmErO3: computed powder XRD pattern (CuKα), based on DFT lattice parameters and positions (GGA-PBE).

Main lines, low angle first (2θ from 15° to 90°):
index  d (Å)  2θ/deg  Rel. int.
2 0 0  3.000  29.8  21.9
1 2 1  2.957  30.2  100.0
0 0 2  2.872  31.1  21.7
0 4 0  2.107  42.9  11.6
2 0 2  2.074  43.6  18.7
2 4 0  1.724  53.1  26.0
1 2 3  1.674  54.8  21.9
2 4 2  1.478  62.9  12.6

Structural model:
```
data_SmErO3
_cell_length_a 6.000
_cell_length_b 8.429
_cell_length_c 5.743
_cell_angle_alpha 90.00
_cell_angle_beta 90.00
_cell_angle_gamma 90.00
_symmetry_space_group_name_H-M 'P n m a'
_symmetry_Int_Tables_number 62
loop_
_symmetry_equiv_pos_as_xyz
'x,y,z'
'-x,-y,-z'
'-x+1/2,-y,z+1/2'
'x+1/2,y,-z+1/2'
'x+1/2,-y+1/2,-z+1/2'
'-x+1/2,y+1/2,z+1/2'
'-x,y+1/2,-z'
'x,-y+1/2,z'
loop_
_atom_site_label
_atom_site_type_symbol
_atom_site_fract_x
_atom_site_fract_y
_atom_site_fract_z
Sm1 Sm 0.052 0.250 0.018
Er1 Er 0.000 0.000 0.500
O1 O 0.072 0.750 0.360
O2 O 0.190 0.574 0.813
```

=====

# 7
SmLuIn2: computed powder XRD pattern (CuKα), based on DFT lattice parameters and positions (GGA-PBE).

Main lines, low angle first (2θ from 15° to 90°):
index  d (Å)  2θ/deg  Rel. int.
2 0 0  3.769  23.6  3.0
2 2 0  2.665  33.6  100.0
2 2 2  2.176  41.5  1.0
4 0 0  1.884  48.3  18.0
4 2 0  1.685  54.4  1.5
4 2 2  1.538  60.1  37.0
4 4 0  1.332  70.7  11.4
6 2 0  1.192  80.6  15.9

Structural model:
```
data_SmLuIn2
_cell_length_a 7.537
_cell_length_b 7.537
_cell_length_c 7.537
_cell_angle_alpha 90.00
_cell_angle_beta 90.00
_cell_angle_gamma 90.00
_symmetry_space_group_name_H-M 'F m -3 m'
_symmetry_Int_Tables_number 225
_symmetry_space_group_name_Hall '-F 4 2 3'
loop_
_atom_site_label
_atom_site_type_symbol
_atom_site_fract_x
_atom_site_fract_y
_atom_site_fract_z
Sm1 Sm 0.000 0.000 0.000
Lu1 Lu 0.000 0.000 0.500
In1 In 0.250 0.250 0.250
```